Starting from a DFT-relaxed cell (PBE+U, the Materials Project), the powder XRD pattern of FeO was computed for CuKα.
Kinematic intensities with the Lorentz-polarization factor, no thermal factor.

```
data_FeO
_chemical_formula_sum 'Fe4 O4'
_cell_length_a 5.3647
_cell_length_b 3.0489
_cell_length_c 5.2747
_cell_angle_alpha 90.00
_cell_angle_beta 92.55
_cell_angle_gamma 90.00
_symmetry_space_group_name_H-M 'C 1 2/m 1'
_symmetry_Int_Tables_number 12
loop_
_symmetry_equiv_pos_as_xyz
'x,y,z'
'-x,-y,-z'
'-x,y,-z'
'x,-y,z'
'x+1/2,y+1/2,z'
'-x+1/2,-y+1/2,-z'
'-x+1/2,y+1/2,-z'
'x+1/2,-y+1/2,z'
loop_
_atom_site_label
_atom_site_fract_x
_atom_site_fract_y
_atom_site_fract_z
Fe1 0.0000 0.0000 0.0000
Fe2 0.0000 0.0000 0.5000
O1 0.1645 0.5000 0.2557
```

Main lines, sorted by position (5° ≤ 2θ ≤ 70°):
| two_theta | d [Å] | I/Imax | index |
| --- | --- | --- | --- |
| 33.4 | 2.680 | 53 | 2 0 0 |
| 33.8 | 2.650 | 100 | 1 1 0 |
| 34.0 | 2.635 | 35 | 0 0 2 |
| 47.3 | 1.922 | 31 | 2 0 -2 |
| 48.2 | 1.889 | 62 | 1 1 -2 |
| 49.3 | 1.848 | 55 | 1 1 2 |
| 49.6 | 1.838 | 28 | 2 0 2 |
| 60.0 | 1.541 | 35 | 3 1 0 |
| 60.8 | 1.524 | 17 | 0 2 0 |
| 69.5 | 1.353 | 9 | 3 1 -2 |

---

Starting from a DFT-relaxed cell (PBE+U, the Materials Project), the powder XRD pattern of Fe3O4 was computed for CuKα.
Kinematic intensities with the Lorentz-polarization factor, no thermal factor.

```
data_Fe3O4
_chemical_formula_sum 'Fe24 O32'
_cell_length_a 6.0891
_cell_length_b 6.0882
_cell_length_c 17.2927
_cell_angle_alpha 90.00
_cell_angle_beta 90.00
_cell_angle_gamma 90.00
_symmetry_space_group_name_H-M 'P m c 21'
_symmetry_Int_Tables_number 26
loop_
_symmetry_equiv_pos_as_xyz
'x,y,z'
'-x,-y,z+1/2'
'-x,y,z'
'x,-y,z+1/2'
loop_
_atom_site_label
_atom_site_fract_x
_atom_site_fract_y
_atom_site_fract_z
Fe1 0.0000 0.0009 0.1249
Fe2 0.0000 0.2455 0.9386
Fe3 0.0000 0.2585 0.4406
Fe4 0.0000 0.4935 0.7532
Fe5 0.2511 0.4998 0.0645
Fe6 0.2534 0.0084 0.3126
Fe7 0.5000 0.0020 0.5000
Fe8 0.5000 0.2456 0.6870
Fe9 0.5000 0.2582 0.1852
Fe10 0.5000 0.4927 0.8781
O1 0.0000 0.2251 0.8149
O2 0.0000 0.2385 0.3148
O3 0.0000 0.2477 0.5582
O4 0.0000 0.2519 0.0585
O5 0.2198 0.4937 0.9383
O6 0.2257 0.0058 0.4287
O7 0.2630 0.0041 0.1918
O8 0.2658 0.4945 0.6923
O9 0.5000 0.2151 0.8053
O10 0.5000 0.2287 0.3054
O11 0.5000 0.2546 0.0732
O12 0.5000 0.2634 0.5737
```

Main lines, sorted by position (5° ≤ 2θ ≤ 70°):
| two_theta | d [Å] | I/Imax | index |
| --- | --- | --- | --- |
| 17.8 | 4.978 | 15 | 1 0 2 |
| 29.3 | 3.049 | 43 | 2 0 0 |
| 34.4 | 2.605 | 51 | 0 1 6 |
| 34.5 | 2.597 | 100 | 2 1 2 |
| 36.1 | 2.489 | 13 | 2 0 4 |
| 42.0 | 2.153 | 21 | 2 2 0 |
| 55.2 | 1.663 | 15 | 1 0 10 |
| 55.4 | 1.658 | 38 | 3 2 2 |
| 60.7 | 1.525 | 46 | 2 2 8 |
| 60.9 | 1.522 | 23 | 4 0 0 |

---

Starting from a DFT-relaxed cell (PBE+U, the Materials Project), the powder XRD pattern of Fe4O5 was computed for CuKα.
Kinematic intensities with the Lorentz-polarization factor, no thermal factor.

```
data_Fe4O5
_chemical_formula_sum 'Fe16 O20'
_cell_length_a 2.9075
_cell_length_b 10.1666
_cell_length_c 12.8059
_cell_angle_alpha 90.00
_cell_angle_beta 90.00
_cell_angle_gamma 90.00
_symmetry_space_group_name_H-M 'C m c m'
_symmetry_Int_Tables_number 63
_symmetry_space_group_name_Hall '-C 2c 2'
loop_
_atom_site_label
_atom_site_fract_x
_atom_site_fract_y
_atom_site_fract_z
Fe1 0.0000 0.0000 0.0000
Fe2 0.0000 0.2612 0.1153
Fe3 0.0000 0.4951 0.7500
O1 0.0000 0.0807 0.6487
O2 0.0000 0.1496 0.2500
O3 0.0000 0.3679 0.5362
```

Main lines, sorted by position (5° ≤ 2θ ≤ 70°):
| two_theta | d [Å] | I/Imax | index |
| --- | --- | --- | --- |
| 32.8 | 2.731 | 24 | 1 1 1 |
| 33.1 | 2.709 | 100 | 0 2 4 |
| 35.0 | 2.562 | 24 | 1 1 2 |
| 35.3 | 2.542 | 27 | 0 4 0 |
| 41.5 | 2.175 | 27 | 1 3 1 |
| 43.4 | 2.086 | 51 | 1 3 2 |
| 46.3 | 1.960 | 23 | 1 3 3 |
| 54.1 | 1.696 | 17 | 1 1 6 |
| 57.1 | 1.613 | 15 | 1 5 2 |
| 62.0 | 1.498 | 22 | 0 6 4 |

---

Starting from a DFT-relaxed cell (PBE+U, the Materials Project), the powder XRD pattern of FeO was computed for CuKα.
Kinematic intensities with the Lorentz-polarization factor, no thermal factor.

```
data_FeO
_chemical_formula_sum 'Fe2 O2'
_cell_length_a 3.0845
_cell_length_b 3.1361
_cell_length_c 5.3464
_cell_angle_alpha 88.64
_cell_angle_beta 73.32
_cell_angle_gamma 60.99
_symmetry_space_group_name_H-M 'P -1'
_symmetry_Int_Tables_number 2
loop_
_symmetry_equiv_pos_as_xyz
'x,y,z'
'-x,-y,-z'
loop_
_atom_site_label
_atom_site_fract_x
_atom_site_fract_y
_atom_site_fract_z
Fe1 0.0000 0.0000 0.0000
Fe2 0.0000 0.5000 0.5000
O1 0.4595 0.2510 0.7503
```

Main lines, sorted by position (5° ≤ 2θ ≤ 70°):
| two_theta | d [Å] | I/Imax | index |
| --- | --- | --- | --- |
| 35.0 | 2.560 | 27 | 1 0 0 |
| 35.3 | 2.543 | 53 | 1 1 1 |
| 35.4 | 2.536 | 26 | 0 0 2 |
| 39.7 | 2.268 | 58 | 0 1 1 |
| 41.5 | 2.175 | 100 | 1 0 2 |
| 58.5 | 1.577 | 16 | 1 -1 1 |
| 58.8 | 1.571 | 16 | 1 0 -2 |
| 59.0 | 1.565 | 31 | 1 2 0 |
| 60.0 | 1.542 | 14 | 2 1 1 |
| 60.4 | 1.533 | 14 | 0 1 -3 |

---

Starting from a DFT-relaxed cell (PBE+U, the Materials Project), the powder XRD pattern of Fe21O23 was computed for CuKα.
Kinematic intensities with the Lorentz-polarization factor, no thermal factor.

```
data_Fe21O23
_chemical_formula_sum 'Fe21 O23'
_cell_length_a 6.8982
_cell_length_b 8.1180
_cell_length_c 9.7542
_cell_angle_alpha 83.09
_cell_angle_beta 73.56
_cell_angle_gamma 64.98
_symmetry_space_group_name_H-M 'P 1'
_symmetry_Int_Tables_number 1
loop_
_symmetry_equiv_pos_as_xyz
'x,y,z'
loop_
_atom_site_label
_atom_site_fract_x
_atom_site_fract_y
_atom_site_fract_z
Fe1 0.0000 0.0000 0.0000
Fe2 0.0204 0.4362 0.3547
Fe3 0.0828 0.8725 0.7106
Fe4 0.1170 0.3027 0.0479
Fe5 0.1723 0.7304 0.4018
Fe6 0.2663 0.6018 0.1046
Fe7 0.2990 0.0460 0.4550
Fe8 0.3374 0.4705 0.7912
Fe9 0.3906 0.9034 0.1474
Fe10 0.4275 0.3492 0.4888
Fe11 0.4671 0.7909 0.8324
Fe12 0.5216 0.2189 0.1862
Fe13 0.5596 0.6446 0.5279
Fe14 0.5855 0.0899 0.8809
Fe15 0.6793 0.9575 0.5802
Fe16 0.7363 0.3912 0.9268
Fe17 0.7746 0.8187 0.2717
Fe18 0.8254 0.2594 0.6253
Fe19 0.8515 0.6952 0.9774
Fe20 0.8987 0.1388 0.3120
Fe21 0.9577 0.5559 0.6666
O1 0.0310 0.4388 0.8756
O2 0.0818 0.8520 0.2022
O3 0.1155 0.3009 0.5435
O4 0.1768 0.7296 0.9062
O5 0.2122 0.1675 0.2514
O6 0.2508 0.6072 0.5987
O7 0.2995 0.0468 0.9632
O8 0.3290 0.4762 0.2921
O9 0.3800 0.9080 0.6332
O10 0.4069 0.3567 0.9979
O11 0.4564 0.8083 0.3497
O12 0.5396 0.2224 0.6800
O13 0.5402 0.6525 0.0242
O14 0.5847 0.0877 0.3864
O15 0.6547 0.5132 0.7218
O16 0.6874 0.9629 0.0782
O17 0.7352 0.3740 0.4445
O18 0.7814 0.8207 0.7721
O19 0.8453 0.2463 0.1156
O20 0.8594 0.7015 0.4709
O21 0.8785 0.1374 0.8171
O22 0.9815 0.5557 0.1547
O23 0.9989 0.0075 0.5095
```

Main lines, sorted by position (5° ≤ 2θ ≤ 70°):
| two_theta | d [Å] | I/Imax | index |
| --- | --- | --- | --- |
| 15.3 | 5.791 | 8 | 1 0 1 |
| 22.6 | 3.942 | 5 | 1 -1 0 |
| 27.0 | 3.302 | 6 | 1 2 2 |
| 35.7 | 2.517 | 68 | 1 0 -3 |
| 35.8 | 2.506 | 23 | 1 3 -1 |
| 41.4 | 2.180 | 100 | 3 2 0 |
| 41.6 | 2.172 | 50 | 0 3 2 |
| 60.0 | 1.542 | 42 | -3 1 2 |
| 60.1 | 1.540 | 14 | 2 3 -4 |
| 60.3 | 1.536 | 28 | 3 5 2 |

---

Starting from a DFT-relaxed cell (PBE+U, the Materials Project), the powder XRD pattern of FeO was computed for CuKα.
Kinematic intensities with the Lorentz-polarization factor, no thermal factor.

```
data_FeO
_chemical_formula_sum 'Fe8 O8'
_cell_length_a 3.4286
_cell_length_b 5.9043
_cell_length_c 10.5359
_cell_angle_alpha 90.00
_cell_angle_beta 90.30
_cell_angle_gamma 90.00
_symmetry_space_group_name_H-M 'C 1 c 1'
_symmetry_Int_Tables_number 9
loop_
_symmetry_equiv_pos_as_xyz
'x,y,z'
'x,-y,z+1/2'
'x+1/2,y+1/2,z'
'x+1/2,-y+1/2,z+1/2'
loop_
_atom_site_label
_atom_site_fract_x
_atom_site_fract_y
_atom_site_fract_z
Fe1 0.0000 0.0057 0.0000
Fe2 0.0199 0.3319 0.7476
O1 0.0137 0.3348 0.5481
O2 0.0258 0.0041 0.7976
```

Main lines, sorted by position (5° ≤ 2θ ≤ 70°):
| two_theta | d [Å] | I/Imax | index |
| --- | --- | --- | --- |
| 31.3 | 2.854 | 89 | 1 1 -1 |
| 31.5 | 2.843 | 44 | 0 2 1 |
| 34.0 | 2.634 | 94 | 0 0 4 |
| 34.6 | 2.589 | 46 | 1 1 -2 |
| 34.8 | 2.577 | 100 | 1 1 2 |
| 53.4 | 1.714 | 51 | 2 0 0 |
| 53.7 | 1.707 | 57 | 1 3 0 |
| 61.5 | 1.509 | 32 | 1 1 6 |
| 65.0 | 1.434 | 35 | 1 3 -4 |
| 65.2 | 1.431 | 23 | 1 3 4 |

---

Starting from a DFT-relaxed cell (PBE+U, the Materials Project), the powder XRD pattern of Fe3O4 was computed for CuKα.
Kinematic intensities with the Lorentz-polarization factor, no thermal factor.

```
data_Fe3O4
_chemical_formula_sum 'Fe12 O16'
_cell_length_a 10.2229
_cell_length_b 5.9776
_cell_length_c 5.1008
_cell_angle_alpha 90.00
_cell_angle_beta 106.51
_cell_angle_gamma 90.00
_symmetry_space_group_name_H-M 'C 1 m 1'
_symmetry_Int_Tables_number 8
loop_
_symmetry_equiv_pos_as_xyz
'x,y,z'
'x,-y,z'
'x+1/2,y+1/2,z'
'x+1/2,-y+1/2,z'
loop_
_atom_site_label
_atom_site_fract_x
_atom_site_fract_y
_atom_site_fract_z
Fe1 0.0000 0.0000 0.0000
Fe2 0.0026 0.2497 0.5036
Fe3 0.0063 0.5000 0.0098
Fe4 0.2511 0.0000 0.5037
Fe5 0.2539 0.5000 0.5146
O1 0.1076 0.5000 0.7226
O2 0.1111 0.0000 0.7087
O3 0.1210 0.2514 0.2676
O4 0.3838 0.2319 0.7492
O5 0.3965 0.0000 0.2931
O6 0.3977 0.5000 0.3054
```

Main lines, sorted by position (5° ≤ 2θ ≤ 70°):
| two_theta | d [Å] | I/Imax | index |
| --- | --- | --- | --- |
| 18.1 | 4.896 | 85 | 0 0 1 |
| 21.7 | 4.091 | 19 | 2 0 -1 |
| 35.2 | 2.551 | 17 | 2 2 0 |
| 36.7 | 2.448 | 36 | 0 0 2 |
| 37.3 | 2.413 | 33 | 2 2 -1 |
| 42.3 | 2.136 | 100 | 2 2 1 |
| 44.3 | 2.046 | 44 | 4 0 -2 |
| 62.1 | 1.494 | 14 | 0 4 0 |
| 62.8 | 1.479 | 26 | 6 2 -1 |
| 63.0 | 1.476 | 25 | 2 2 -3 |

---

Starting from a DFT-relaxed cell (PBE+U, the Materials Project), the powder XRD pattern of Fe3O4 was computed for CuKα.
Kinematic intensities with the Lorentz-polarization factor, no thermal factor.

```
data_Fe3O4
_chemical_formula_sum 'Fe12 O16'
_cell_length_a 8.5034
_cell_length_b 8.6030
_cell_length_c 5.9928
_cell_angle_alpha 90.00
_cell_angle_beta 134.31
_cell_angle_gamma 90.00
_symmetry_space_group_name_H-M 'C 1 c 1'
_symmetry_Int_Tables_number 9
loop_
_symmetry_equiv_pos_as_xyz
'x,y,z'
'x,-y,z+1/2'
'x+1/2,y+1/2,z'
'x+1/2,-y+1/2,z+1/2'
loop_
_atom_site_label
_atom_site_fract_x
_atom_site_fract_y
_atom_site_fract_z
Fe1 0.0000 0.0008 0.0000
Fe2 0.2528 0.2511 0.0047
Fe3 0.4994 0.1183 0.7514
O1 0.2431 0.0123 0.0023
O2 0.2519 0.4866 0.0016
O3 0.4946 0.2482 0.4828
O4 0.4983 0.2476 0.0187
```

Main lines, sorted by position (5° ≤ 2θ ≤ 70°):
| two_theta | d [Å] | I/Imax | index |
| --- | --- | --- | --- |
| 29.4 | 3.039 | 41 | 2 0 0 |
| 29.5 | 3.024 | 27 | 2 2 -1 |
| 34.6 | 2.595 | 95 | 1 1 1 |
| 34.7 | 2.587 | 51 | 1 3 -1 |
| 34.8 | 2.576 | 100 | 1 1 -2 |
| 35.1 | 2.558 | 47 | 3 1 -2 |
| 55.5 | 1.655 | 49 | 1 5 0 |
| 60.9 | 1.521 | 23 | 4 0 0 |
| 61.0 | 1.518 | 45 | 0 4 2 |
| 61.3 | 1.512 | 44 | 4 4 -2 |